The following is a calculated PXRD pattern of KTl3Cd2. It was derived from the GGA-PBE geometry in Alexandria, using Cu Kα (weighted mean of Kα1 and Kα2).
Peak positions follow from Bragg's law for the DFT cell and can differ from measured ones.

Largest 6 diffraction maxima, sorted by position, 10° ≤ 2θ ≤ 90°:
11.2 deg, I 38, (0 0 2); 29.9 deg, I 97, (1 0 4); 34.0 deg, I 100, (1 1 0); 34.5 deg, I 25, (1 0 5); 45.9 deg, I 37, (0 0 8); 58.4 deg, I 50, (1 1 8)

Structure:
Lattice parameters (Å, degrees): 5.2690 5.2690 15.7920 90.00 90.00 120.00
Space group P6_3/mmc (No. 194)
Inequivalent atoms, fractional coordinates:
1 K 0.0000 0.0000 0.2500 (multiplicity 2)
2 Tl 0.0000 0.0000 0.0000 (multiplicity 2)
3 Tl 0.3333 0.6667 0.1252 (multiplicity 4)
4 Cd 0.3333 0.6667 0.5894 (multiplicity 4)